1.
Diffraction record for MgTi. The powder diffraction line list is theoretical, not measured: it uses the PBE geometry in the Materials Project and Cu Ka.
Peak positions follow from Bragg's law for the DFT cell and can differ from measured ones.

Top 8 peaks for 10 to 90 degrees two-theta, most intense first:
d 2.329, I = 100
d 2.437, I = 27
d 2.651, I = 25
d 7.665, I = 25
d 1.385, I = 17
d 1.794, I = 14
d 1.295, I = 11
d 1.529, I = 10

Crystal structure
Cell lengths 4.874, 15.329, 5.294 Å; angles 90.00, 90.00, 90.00 degrees
Space group Amm2 (No. 38)
Asymmetric unit:
Mg 0.000 0.000 0.000
Mg 0.000 0.197 0.018
Mg 0.500 0.196 0.678
Ti 0.000 0.087 0.508
Ti 0.500 0.000 0.685
Ti 0.500 0.087 0.195

---

2.
Diffraction record for MgTi. The powder diffraction line list is theoretical, not measured: it uses the PBE geometry in the Materials Project and Cu Ka.
Peak positions follow from Bragg's law for the DFT cell and can differ from measured ones.

Top 8 peaks for 10 to 90 degrees two-theta, most intense first:
d 2.332, I = 100
d 2.420, I = 27
d 2.662, I = 25
d 6.149, I = 18
d 1.380, I = 17
d 1.297, I = 15
d 1.791, I = 14
d 1.537, I = 14

Crystal structure
Cell lengths 4.841, 12.297, 5.322 Å; angles 90.00, 90.00, 90.00 degrees
Space group Pmmn (No. 59, origin choice 2)
Asymmetric unit:
Mg 0.250 0.000 0.174
Mg 0.250 0.129 0.671
Ti 0.250 0.250 0.178
Ti 0.250 0.645 0.675
Ti 0.250 0.750 0.134

---

3.
Diffraction record for MgTi. The powder diffraction line list is theoretical, not measured: it uses the PBE geometry in the Materials Project and Cu Ka.
Peak positions follow from Bragg's law for the DFT cell and can differ from measured ones.

Top 8 peaks for 10 to 90 degrees two-theta, most intense first:
d 2.346, I = 100
d 2.260, I = 39
d 2.441, I = 37
d 2.676, I = 21
d 1.390, I = 17
d 1.275, I = 15
d 2.549, I = 14
d 1.495, I = 13

Crystal structure
Cell lengths 4.883, 9.430, 5.098 Å; angles 90.00, 90.00, 90.00 degrees
Space group Pmc2_1 (No. 26)
Asymmetric unit:
Mg 0.000 0.084 0.000
Mg 0.000 0.254 0.494
Mg 0.500 0.255 0.856
Ti 0.000 0.431 0.016
Ti 0.500 0.080 0.345
Ti 0.500 0.424 0.360

---

4.
Diffraction record for MgTi. The powder diffraction line list is theoretical, not measured: it uses the PBE geometry in the Materials Project and Cu Ka.
Peak positions follow from Bragg's law for the DFT cell and can differ from measured ones.

Top 8 peaks for 10 to 90 degrees two-theta, most intense first:
d 2.342, I = 100
d 2.319, I = 39
d 2.400, I = 37
d 7.945, I = 26
d 2.683, I = 19
d 2.648, I = 17
d 1.374, I = 16
d 6.111, I = 14

Crystal structure
Cell lengths 6.224, 4.801, 8.093 Å; angles 90.00, 100.97, 90.00 degrees
Space group P2_1/m (No. 11)
Asymmetric unit:
Mg 0.028 0.250 0.113
Mg 0.143 0.750 0.557
Mg 0.365 0.250 0.438
Ti 0.232 0.250 0.798
Ti 0.328 0.750 0.197
Ti 0.475 0.750 0.901

---

5.
Diffraction record for MgTi. The powder diffraction line list is theoretical, not measured: it uses the PBE geometry in the Materials Project and Cu Ka.
Peak positions follow from Bragg's law for the DFT cell and can differ from measured ones.

Top 8 peaks for 10 to 90 degrees two-theta, most intense first:
d 2.342, I = 100
d 2.312, I = 38
d 2.398, I = 37
d 7.917, I = 26
d 2.684, I = 19
d 2.639, I = 17
d 1.374, I = 16
d 1.291, I = 13

Crystal structure
Cell lengths 6.235, 15.834, 4.797 Å; angles 90.00, 90.00, 90.00 degrees
Space group Pbcm (No. 57)
Asymmetric unit:
Mg 0.119 0.031 0.250
Mg 0.371 0.527 0.250
Mg 0.378 0.193 0.250
Ti 0.096 0.153 0.750
Ti 0.126 0.700 0.250
Ti 0.343 0.648 0.750

---

6.
Diffraction record for Mg3Ti. The powder diffraction line list is theoretical, not measured: it uses the PBE geometry in the Materials Project and Cu Ka.
Peak positions follow from Bragg's law for the DFT cell and can differ from measured ones.

Top 8 peaks for 10 to 90 degrees two-theta, most intense first:
d 2.370, I = 100
d 2.399, I = 56
d 2.478, I = 39
d 2.699, I = 27
d 1.329, I = 19
d 1.575, I = 17
d 1.409, I = 17
d 1.825, I = 16

Crystal structure
Cell lengths 4.955, 6.201, 5.484 Å; angles 90.00, 90.00, 90.00 degrees
Space group Pmmn (No. 59, origin choice 2)
Asymmetric unit:
Mg 0.250 0.003 0.168
Mg 0.250 0.750 0.665
Ti 0.250 0.250 0.655

---

7.
Diffraction record for MgTi5. The powder diffraction line list is theoretical, not measured: it uses the PBE geometry in the Materials Project and Cu Ka.
Peak positions follow from Bragg's law for the DFT cell and can differ from measured ones.

Top 8 peaks for 10 to 90 degrees two-theta, most intense first:
d 2.258, I = 100
d 2.562, I = 26
d 2.387, I = 25
d 1.257, I = 16
d 1.479, I = 16
d 1.352, I = 14
d 1.747, I = 13
d 1.237, I = 12

Crystal structure
Cell lengths 2.9587, 2.9587, 14.3234 Å; angles 90.00, 90.00, 120.00 degrees
Space group P-6m2 (No. 187)
Asymmetric unit:
Mg 0.0000 0.0000 0.0000
Ti 0.0000 0.0000 0.3363
Ti 0.3333 0.6667 0.1794
Ti 0.3333 0.6667 0.5000

---

8.
Diffraction record for MgTi5. The powder diffraction line list is theoretical, not measured: it uses the PBE geometry in the Materials Project and Cu Ka.
Peak positions follow from Bragg's law for the DFT cell and can differ from measured ones.

Top 8 peaks for 10 to 90 degrees two-theta, most intense first:
d 2.249, I = 100
d 2.367, I = 26
d 2.556, I = 25
d 1.252, I = 17
d 1.343, I = 16
d 1.476, I = 15
d 1.737, I = 14
d 1.234, I = 12

Crystal structure
Cell lengths 5.1120, 5.1120, 4.7346 Å; angles 90.00, 90.00, 120.00 degrees
Space group P-62m (No. 189)
Asymmetric unit:
Mg 0.0000 0.0000 0.0000
Ti 0.0000 0.6683 0.5000
Ti 0.3333 0.6667 0.0000

---

9.
Diffraction record for MgTi. The powder diffraction line list is theoretical, not measured: it uses the PBE geometry in the Materials Project and Cu Ka.
Peak positions follow from Bragg's law for the DFT cell and can differ from measured ones.

Top 8 peaks for 10 to 90 degrees two-theta, most intense first:
d 2.322, I = 100
d 2.308, I = 60
d 2.433, I = 43
d 2.642, I = 31
d 1.790, I = 18
d 1.288, I = 18
d 1.382, I = 17
d 1.517, I = 16

Crystal structure
Cell lengths 4.866, 9.174, 5.243 Å; angles 90.00, 90.00, 90.00 degrees
Space group Pmc2_1 (No. 26)
Asymmetric unit:
Mg 0.000 0.084 0.000
Mg 0.000 0.412 0.991
Mg 0.500 0.409 0.327
Ti 0.000 0.236 0.506
Ti 0.500 0.073 0.324
Ti 0.500 0.233 0.808

---

10.
Diffraction record for MgTi. The powder diffraction line list is theoretical, not measured: it uses the PBE geometry in the Materials Project and Cu Ka.
Peak positions follow from Bragg's law for the DFT cell and can differ from measured ones.

Top 8 peaks for 10 to 90 degrees two-theta, most intense first:
d 2.263, I = 100
d 2.629, I = 34
d 2.507, I = 28
d 1.437, I = 21
d 1.814, I = 19
d 5.259, I = 19
d 1.268, I = 17
d 1.447, I = 14

Crystal structure
Cell lengths 2.8943, 2.8943, 5.2589 Å; angles 90.00, 90.00, 120.00 degrees
Space group P-6m2 (No. 187)
Asymmetric unit:
Mg 0.0000 0.0000 0.0000
Ti 0.6667 0.3333 0.5000

---

11.
Diffraction record for MgTi. The powder diffraction line list is theoretical, not measured: it uses the PBE geometry in the Materials Project and Cu Ka.
Peak positions follow from Bragg's law for the DFT cell and can differ from measured ones.

Top 8 peaks for 10 to 90 degrees two-theta, most intense first:
d 2.339, I = 100
d 2.304, I = 43
d 2.418, I = 39
d 6.211, I = 26
d 1.288, I = 24
d 2.672, I = 21
d 1.380, I = 17
d 2.621, I = 16

Crystal structure
Cell lengths 4.837, 6.211, 5.242 Å; angles 90.00, 90.00, 90.00 degrees
Space group Pmm2 (No. 25)
Asymmetric unit:
Mg 0.000 0.000 0.000
Mg 0.000 0.266 0.518
Mg 0.500 0.000 0.360
Ti 0.000 0.500 0.014
Ti 0.500 0.286 0.874
Ti 0.500 0.500 0.334

---

12.
Diffraction record for MgTi. The powder diffraction line list is theoretical, not measured: it uses the PBE geometry in the Materials Project and Cu Ka.
Peak positions follow from Bragg's law for the DFT cell and can differ from measured ones.

Top 8 peaks for 10 to 90 degrees two-theta, most intense first:
d 2.301, I = 100
d 2.334, I = 42
d 2.442, I = 38
d 7.970, I = 29
d 2.609, I = 19
d 1.381, I = 17
d 2.657, I = 16
d 1.293, I = 14

Crystal structure
Cell lengths 4.884, 2.995, 15.940 Å; angles 90.00, 90.00, 90.00 degrees
Space group Amm2 (No. 38)
Asymmetric unit:
Mg 0.000 0.000 0.000
Mg 0.000 0.000 0.334
Mg 0.500 0.000 0.773
Ti 0.000 0.000 0.657
Ti 0.500 0.000 0.105
Ti 0.500 0.000 0.457